Theoretical X-ray diffraction stick pattern
Compound: Ho2Ga9Co3
Radiation: Cu Kα
Structure: a cell relaxed with PBE
Neutral-atom scattering factors, no anomalous dispersion.

Structural model:
```
data_Ho2Ga9Co3
_chemical_formula_sum 'Ho8 Ga36 Co12'
_cell_length_a 12.721
_cell_length_b 7.384
_cell_length_c 9.421
_cell_angle_alpha 90.00
_cell_angle_beta 90.00
_cell_angle_gamma 90.00
_symmetry_space_group_name_H-M 'C m c m'
_symmetry_Int_Tables_number 63
_symmetry_space_group_name_Hall '-C 2c 2'
loop_
_atom_site_label
_atom_site_fract_x
_atom_site_fract_y
_atom_site_fract_z
Ho1 0.164 0.167 0.250
Ga1 0.000 0.121 0.750
Ga2 0.000 0.333 0.058
Ga3 0.107 0.443 0.750
Ga4 0.167 0.167 0.572
Co1 0.000 0.000 0.000
Co2 0.171 0.500 0.000
```

Largest 6 diffraction maxima, in order of rising 2θ, 2θ from 10° to 90°:
| Position (°2θ) | Rel. int. | hkl |
| --- | --- | --- |
| 26.0 | 13 | 3 1 1 |
| 37.6 | 100 | 3 1 3 |
| 38.2 | 16 | 0 0 4 |
| 38.6 | 15 | 4 2 1 |
| 42.5 | 46 | 3 3 0 |
| 42.6 | 23 | 6 0 0 |